Record 1
Theoretical powder X-ray diffraction pattern of Ni3BiS2 for Cu Kα, from DFT lattice parameters and positions (GGA-PBE).
Intensities are scaled so that the largest is 100.

Principal peaks in the range 10 to 90 degrees two-theta, by angle:
Position (°2θ)	I/Imax	hkl
13.6	32	2 0 -1
24.1	68	1 1 -1
24.3	30	2 0 1
27.3	27	4 0 -2
29.5	38	4 0 0
31.8	42	1 1 -2
38.1	100	3 1 1
40.4	32	3 1 -3
43.5	46	0 2 0
43.6	29	5 1 -3

Atomic structure:
Lattice parameters (Å, degrees): 14.2427 4.1595 7.9575 90.00 121.60 90.00
Space group C2/m (No. 12)
Inequivalent atoms, fractional coordinates:
Ni: 0.0789 0.0000 0.3558 (multiplicity 4)
Ni: 0.1099 0.5000 0.5952 (multiplicity 4)
Ni: 0.1863 0.5000 0.3520 (multiplicity 4)
Bi: 0.1436 0.0000 0.0959 (multiplicity 4)
S: 0.0051 0.5000 0.2693 (multiplicity 4)
S: 0.1744 0.0000 0.6868 (multiplicity 4)

Record 2
Theoretical powder X-ray diffraction pattern of Ca2AgH6Rh for Cu Kα, from DFT lattice parameters and positions (GGA-PBE).
Intensities are scaled so that the largest is 100.

Principal peaks in the range 10 to 90 degrees two-theta, by angle:
Position (°2θ)	I/Imax	hkl
20.3	100	1 0 0
26.4	17	0 1 1
35.6	68	1 1 0
39.7	74	1 0 2
41.4	15	2 0 0
49.9	12	1 1 2
54.4	29	0 2 2
55.7	13	2 1 0
66.7	30	2 1 2
88.8	14	1 3 2

Atomic structure:
Lattice parameters (Å, degrees): 5.0402 5.0402 5.3135 90.00 90.00 120.00
Space group P-3m1 (No. 164)
Inequivalent atoms, fractional coordinates:
Ca: 0.3333 0.6667 0.2872 (multiplicity 2)
Ag: 0.0000 0.0000 0.0000 (multiplicity 1)
H: 0.1655 0.3311 0.6896 (multiplicity 6)
Rh: 0.0000 0.0000 0.5000 (multiplicity 1)

Record 3
Theoretical powder X-ray diffraction pattern of CsCd2Hg6 for Cu Kα, from DFT lattice parameters and positions (GGA-PBE).
Intensities are scaled so that the largest is 100.

Principal peaks in the range 10 to 90 degrees two-theta, by angle:
Position (°2θ)	I/Imax	hkl
30.3	100	1 1 2
32.4	92	2 0 0
33.9	20	2 0 1
37.8	70	1 1 3
46.5	36	2 2 0
47.6	11	2 2 1
56.4	36	3 1 2
61.4	47	3 1 3
67.8	12	4 0 0
77.1	16	4 2 0

Atomic structure:
Lattice parameters (Å, degrees): 5.5296 5.5296 9.0124 90.00 90.00 90.00
Space group P4/mmm (No. 123)
Inequivalent atoms, fractional coordinates:
Cs: 0.0000 0.0000 0.0000 (multiplicity 1)
Cd: 0.5000 0.5000 0.1602 (multiplicity 2)
Hg: 0.0000 0.0000 0.5000 (multiplicity 1)
Hg: 0.0000 0.5000 0.3041 (multiplicity 4)
Hg: 0.5000 0.5000 0.5000 (multiplicity 1)

Record 4
Theoretical powder X-ray diffraction pattern of Ba2ClO for Cu Kα, from DFT lattice parameters and positions (GGA-PBE).
Intensities are scaled so that the largest is 100.

Principal peaks in the range 10 to 90 degrees two-theta, by angle:
Position (°2θ)	I/Imax	hkl
23.6	12	0 0 4
25.4	24	1 0 0
26.1	25	1 0 1
31.1	100	1 0 3
34.9	12	1 0 4
44.7	28	1 1 0
49.6	14	1 0 7
55.5	19	2 0 3
58.5	15	1 1 6
73.9	16	2 1 3

Atomic structure:
Lattice parameters (Å, degrees): 4.0524 4.0524 15.0902 90.00 90.00 120.00
Space group P6_3/mmc (No. 194)
Inequivalent atoms, fractional coordinates:
Ba: 0.3333 0.6667 0.0986 (multiplicity 4)
Cl: 0.3333 0.6667 0.7500 (multiplicity 2)
O: 0.0000 0.0000 0.0000 (multiplicity 2)

Record 5
Theoretical powder X-ray diffraction pattern of Zn3CuP2O9 for Cu Kα, from DFT lattice parameters and positions (GGA-PBE).
Intensities are scaled so that the largest is 100.

Principal peaks in the range 10 to 90 degrees two-theta, by angle:
Position (°2θ)	I/Imax	hkl
20.5	20	2 0 0
29.5	14	3 1 -1
29.7	32	3 1 -2
30.2	100	2 2 0
31.3	57	0 0 3
34.7	23	1 3 -1
35.5	36	2 2 -3
43.5	20	3 3 -2
57.8	24	5 3 -2
59.9	14	1 3 4

Atomic structure:
Lattice parameters (Å, degrees): 9.9280 8.1259 9.8570 90.00 119.46 90.00
Space group C2/m (No. 12)
Inequivalent atoms, fractional coordinates:
Zn: 0.0112 0.1956 0.3323 (multiplicity 8)
Zn: 0.1538 0.5000 0.6120 (multiplicity 4)
Cu: 0.0000 0.3103 0.0000 (multiplicity 4)
P: 0.2016 0.0000 0.0004 (multiplicity 4)
P: 0.2410 0.5000 0.3582 (multiplicity 4)
O: 0.0000 0.3220 0.5000 (multiplicity 4)
O: 0.1020 0.1566 0.9153 (multiplicity 8)
O: 0.1192 0.0000 0.6704 (multiplicity 4)
O: 0.1437 0.5000 0.0079 (multiplicity 4)
O: 0.1477 0.3416 0.2906 (multiplicity 8)
O: 0.1876 0.0000 0.4563 (multiplicity 4)
O: 0.2336 0.0000 0.1677 (multiplicity 4)